Calculated XRD peak list
Compound: NbP2NCl12
Radiation: CuKα
Structure: a crystal structure in OQMD, relaxed with PBE

Principal peaks in the range 2θ from 10° to 90°, by angle:
2theta, I/Imax
15.44, 100
17.63, 55
22.06, 32
26.15, 29
30.63, 23
31.48, 25

Crystal structure
```
NbP2NCl12
1.0
6.965 -4.485 0.000
6.965 4.485 0.000
-3.746 0.000 15.315
Nb P N Cl
2 4 2 24
direct
0.000 0.000 0.000
0.000 0.000 0.500
0.319 0.461 0.729
0.461 0.319 0.229
0.539 0.681 0.771
0.681 0.539 0.271
0.377 0.623 0.750
0.623 0.377 0.250
0.047 0.089 0.153
0.089 0.047 0.653
0.096 0.517 0.648
0.103 0.214 0.973
0.214 0.103 0.473
0.220 0.702 0.492
0.238 0.499 0.176
0.272 0.402 0.835
0.298 0.780 0.008
0.402 0.272 0.335
0.483 0.904 0.852
0.499 0.238 0.676
0.501 0.762 0.324
0.517 0.096 0.148
0.598 0.728 0.665
0.702 0.220 0.992
0.728 0.598 0.165
0.762 0.501 0.824
0.780 0.298 0.508
0.786 0.897 0.527
0.897 0.786 0.027
0.904 0.483 0.352
0.911 0.953 0.347
0.953 0.911 0.847
```

---

Calculated XRD peak list
Compound: Dy3B7W
Radiation: CuKα
Structure: a crystal structure in OQMD, relaxed with PBE

Principal peaks in the range 2θ from 10° to 90°, by angle:
2theta, I/Imax
26.33, 100
29.23, 77
30.41, 71
36.26, 40
38.99, 84
39.52, 64

Crystal structure
```
Dy3B7W
1.0
1.732 -7.991 0.000
1.732 7.991 0.000
0.000 0.000 9.482
Dy B W
6 14 2
direct
0.107 0.893 0.560
0.107 0.893 0.940
0.244 0.756 0.250
0.756 0.244 0.750
0.893 0.107 0.060
0.893 0.107 0.440
0.272 0.728 0.533
0.272 0.728 0.967
0.365 0.635 0.647
0.365 0.635 0.853
0.456 0.544 0.250
0.480 0.520 0.592
0.480 0.520 0.908
0.520 0.480 0.092
0.520 0.480 0.408
0.544 0.456 0.750
0.635 0.365 0.147
0.635 0.365 0.353
0.728 0.272 0.033
0.728 0.272 0.467
0.054 0.946 0.250
0.946 0.054 0.750
```

---

Calculated XRD peak list
Compound: ErAgTeSe
Radiation: CuKα
Structure: a crystal structure in OQMD, relaxed with PBE

Principal peaks in the range 2θ from 10° to 90°, by angle:
2theta, I/Imax
27.74, 73
32.93, 100
34.64, 79
35.21, 69
38.44, 57
44.41, 76

Crystal structure
```
ErAgTeSe
1.0
9.366 0.000 0.000
0.000 10.194 0.000
0.000 0.000 4.424
Er Ag Te Se
4 4 4 4
direct
0.000 0.000 0.000
0.000 0.500 0.379
0.500 0.000 0.379
0.500 0.500 0.000
0.250 0.250 0.150
0.250 0.750 0.150
0.750 0.250 0.150
0.750 0.750 0.150
0.000 0.207 0.492
0.000 0.793 0.492
0.500 0.293 0.492
0.500 0.707 0.492
0.200 0.500 0.903
0.300 0.000 0.903
0.700 0.000 0.903
0.800 0.500 0.903
```

---

Calculated XRD peak list
Compound: YErGeF2
Radiation: CuKα
Structure: a crystal structure in OQMD, relaxed with PBE

Principal peaks in the range 2θ from 10° to 90°, by angle:
2theta, I/Imax
13.51, 16
29.25, 100
37.87, 45
45.53, 41
49.39, 33
55.04, 17

Crystal structure
```
YErGeF2
1.0
3.984 0.000 0.000
-1.992 3.451 0.000
0.000 0.000 6.552
Y Er Ge F
1 1 1 2
direct
0.000 0.000 0.000
0.333 0.667 0.509
0.667 0.333 0.753
0.000 0.000 0.359
0.333 0.667 0.159
```